No. 1
Structure and computed powder diffractogram of Li7Sb2S (a cell relaxed with GGA-PBE; copper Kα).

Cell and atoms:
a b c (Å): 5.9417 13.9852 9.3970
angles (deg): 90.00 90.12 90.00
Space group P2_1/c (No. 14)
Symmetry-distinct sites (fractional):
Li 0.0023 0.1059 0.4197 x4
Li 0.0051 0.2368 0.6885 x4
Li 0.1533 0.5803 0.3624 x4
Li 0.2710 0.5500 0.7301 x4
Li 0.2731 0.1486 0.9538 x4
Li 0.4901 0.2456 0.6870 x4
Li 0.4915 0.1039 0.4087 x4
Sb 0.2521 0.0660 0.6689 x4
Sb 0.2553 0.7219 0.5627 x4
S 0.2321 0.1198 0.2058 x4

Most intense lines, 2θ from 15° to 90°, most intense first:
- d 3.668, I = 100, hkl 1 3 0
- d 3.685, I = 72, hkl 1 0 2
- d 3.564, I = 51, hkl 1 1 -2
- d 3.309, I = 40, hkl 0 3 2
- d 2.971, I = 36, hkl 2 0 0
- d 2.211, I = 35, hkl 2 3 2
- d 3.900, I = 30, hkl 0 2 2
- d 1.824, I = 27, hkl 3 3 0
- d 2.085, I = 26, hkl 1 2 -4
- d 4.726, I = 25, hkl 1 1 1
- d 4.080, I = 23, hkl 1 2 -1
- d 2.317, I = 21, hkl 0 1 4


No. 2
Structure and computed powder diffractogram of Li7Sb2S2 (a cell relaxed with GGA-PBE; copper Kα).

Cell and atoms:
a b c (Å): 13.1910 8.7000 7.5169
angles (deg): 90.00 90.00 90.00
Space group Pnma (No. 62)
Symmetry-distinct sites (fractional):
Li 0.0438 0.0076 0.1693 x8
Li 0.0849 0.7500 0.7581 x4
Li 0.1132 0.2500 0.8113 x4
Li 0.1853 0.7500 0.0510 x4
Li 0.2081 0.5283 0.5846 x8
Sb 0.0864 0.7500 0.3956 x4
Sb 0.0994 0.2500 0.4267 x4
S 0.1397 0.5176 0.8987 x8

Most intense lines, 2θ from 15° to 90°, most intense first:
- d 3.622, I = 100, hkl 1 2 1
- d 2.063, I = 45, hkl 2 2 3
- d 2.857, I = 39, hkl 3 0 2
- d 3.270, I = 35, hkl 2 2 1
- d 3.615, I = 26, hkl 1 0 2
- d 2.161, I = 25, hkl 5 2 1
- d 2.388, I = 25, hkl 3 2 2
- d 4.350, I = 23, hkl 0 2 0
- d 3.298, I = 22, hkl 4 0 0
- d 1.730, I = 19, hkl 3 4 2
- d 2.175, I = 15, hkl 0 4 0
- d 1.815, I = 12, hkl 4 4 0


No. 3
Structure and computed powder diffractogram of LiSbS2 (a cell relaxed with GGA-PBE; copper Kα).

Cell and atoms:
a b c (Å): 5.4324 5.4324 11.0552
angles (deg): 90.00 90.00 90.00
Space group I4_1/amd (No. 141, origin choice 2)
Symmetry-distinct sites (fractional):
Li 0.0000 0.2500 0.3750 x4
Sb 0.0000 0.2500 0.8750 x4
S 0.0000 0.2500 0.1236 x8

Most intense lines, 2θ from 15° to 90°, most intense first:
- d 4.876, I = 100, hkl 1 0 1
- d 2.716, I = 63, hkl 2 0 0
- d 1.937, I = 44, hkl 2 0 4
- d 2.764, I = 33, hkl 0 0 4
- d 2.373, I = 31, hkl 2 1 1
- d 3.050, I = 30, hkl 1 0 3
- d 1.577, I = 22, hkl 2 2 4
- d 1.921, I = 22, hkl 2 2 0
- d 2.028, I = 19, hkl 2 1 3
- d 3.154, I = 17, hkl 1 1 2
- d 1.112, I = 15, hkl 4 2 4
- d 2.048, I = 10, hkl 1 0 5


No. 4
Structure and computed powder diffractogram of Li34Sb9S6 (a cell relaxed with GGA-PBE; copper Kα).

Cell and atoms:
a b c (Å): 9.8987 9.8987 18.7653
angles (deg): 90.00 90.00 90.00
Space group I4/m (No. 87)
Symmetry-distinct sites (fractional):
Li 0.0000 0.5000 0.0738 x8
Li 0.0000 0.5000 0.2500 x4
Li 0.0709 0.2194 0.1257 x16
Li 0.0837 0.8098 0.2603 x16
Li 0.0889 0.7819 0.4240 x16
Li 0.1523 0.7182 0.0000 x8
Sb 0.0000 0.0000 0.5000 x2
Sb 0.1286 0.3090 0.3430 x16
S 0.0000 0.0000 0.1835 x4
S 0.1018 0.3152 0.0000 x8

Most intense lines, 2θ from 15° to 90°, most intense first:
- d 3.613, I = 100, hkl 2 1 3
- d 3.129, I = 42, hkl 0 0 6
- d 2.213, I = 39, hkl 1 3 6
- d 1.887, I = 37, hkl 2 1 9
- d 4.309, I = 15, hkl 1 2 1
- d 1.436, I = 11, hkl 5 0 9
- d 2.293, I = 9, hkl 1 2 7
- d 1.400, I = 9, hkl 1 3 12
- d 1.278, I = 8, hkl 4 2 12
- d 1.807, I = 8, hkl 4 2 6
- d 1.205, I = 7, hkl 2 1 15
- d 3.405, I = 7, hkl 2 0 4


No. 5
Structure and computed powder diffractogram of Li3SbS3 (a cell relaxed with GGA-PBE; copper Kα).

Cell and atoms:
a b c (Å): 4.1542 11.9248 12.7305
angles (deg): 90.00 106.91 90.00
Space group P2_1/c (No. 14)
Symmetry-distinct sites (fractional):
Li 0.0745 0.2233 0.0173 x4
Li 0.3144 0.0267 0.3746 x4
Li 0.3903 0.5495 0.3867 x4
Sb 0.0221 0.1934 0.7512 x4
S 0.1622 0.0871 0.6025 x4
S 0.1820 0.1184 0.1968 x4
S 0.4824 0.1548 0.9245 x4

Most intense lines, 2θ from 15° to 90°, most intense first:
- d 5.355, I = 100, hkl 0 2 1
- d 2.235, I = 72, hkl 1 4 -3
- d 4.260, I = 68, hkl 0 2 2
- d 2.957, I = 68, hkl 1 0 2
- d 3.254, I = 62, hkl 1 2 -2
- d 2.896, I = 58, hkl 0 4 1
- d 3.975, I = 58, hkl 1 0 0
- d 3.886, I = 45, hkl 1 0 -2
- d 2.712, I = 41, hkl 0 2 4
- d 2.936, I = 38, hkl 1 2 -3
- d 3.773, I = 38, hkl 1 1 0
- d 2.421, I = 35, hkl 1 4 -1


No. 6
Structure and computed powder diffractogram of Li3SbS3 (a cell relaxed with GGA-PBE; copper Kα).

Cell and atoms:
a b c (Å): 8.5169 10.5185 13.7317
angles (deg): 90.00 91.50 90.00
Space group P2_1/c (No. 14)
Symmetry-distinct sites (fractional):
Li 0.0706 0.0418 0.3958 x4
Li 0.1572 0.0859 0.9190 x4
Li 0.1717 0.6148 0.7028 x4
Li 0.3027 0.5927 0.1749 x4
Li 0.3727 0.1065 0.4616 x4
Li 0.4282 0.5200 0.6051 x4
Sb 0.2291 0.7462 0.4424 x4
Sb 0.2503 0.2487 0.1933 x4
S 0.0464 0.2464 0.3175 x4
S 0.1658 0.0649 0.0944 x4
S 0.1728 0.0754 0.5809 x4
S 0.3190 0.5674 0.8492 x4
S 0.3303 0.5687 0.3467 x4
S 0.4251 0.7448 0.5791 x4

Most intense lines, 2θ from 15° to 90°, most intense first:
- d 5.748, I = 100, hkl 0 1 2
- d 4.813, I = 99, hkl 1 1 -2
- d 4.257, I = 84, hkl 2 0 0
- d 5.259, I = 79, hkl 0 2 0
- d 3.386, I = 75, hkl 2 1 2
- d 4.716, I = 73, hkl 1 1 2
- d 2.943, I = 64, hkl 1 3 -2
- d 2.705, I = 60, hkl 1 2 4
- d 3.457, I = 59, hkl 2 1 -2
- d 2.920, I = 51, hkl 1 3 2
- d 2.741, I = 49, hkl 1 2 -4
- d 2.042, I = 27, hkl 3 2 -4


No. 7
Structure and computed powder diffractogram of Li3Sb11S18 (a cell relaxed with GGA-PBE; copper Kα).

Cell and atoms:
a b c (Å): 6.8964 7.8627 15.4403
angles (deg): 75.60 80.58 73.30
Space group P1 (No. 1)
Symmetry-distinct sites (fractional):
Li 0.0000 0.0000 0.0000 x1
Li 0.0121 0.5155 0.9942 x1
Li 0.8912 0.8846 0.2989 x1
Sb 0.1458 0.1330 0.6790 x1
Sb 0.1460 0.6289 0.6777 x1
Sb 0.2921 0.9747 0.4167 x1
Sb 0.2941 0.4707 0.4185 x1
Sb 0.4797 0.1963 0.8761 x1
Sb 0.4853 0.6926 0.8830 x1
Sb 0.5253 0.3149 0.1092 x1
Sb 0.5296 0.8317 0.1102 x1
Sb 0.7173 0.5515 0.5589 x1
Sb 0.7188 0.0435 0.5606 x1
Sb 0.8879 0.3844 0.3014 x1
S 0.1362 0.0910 0.2687 x1
S 0.1366 0.5815 0.2707 x1
S 0.2096 0.0360 0.8459 x1
S 0.2131 0.5258 0.8431 x1
S 0.2757 0.6741 0.0282 x1
S 0.2878 0.1722 0.0287 x1
S 0.4419 0.3416 0.6221 x1
S 0.4504 0.8399 0.6209 x1
S 0.5419 0.6912 0.3663 x1
S 0.5486 0.1778 0.3736 x1
S 0.7160 0.3533 0.9564 x1
S 0.7159 0.8458 0.9564 x1
S 0.7771 0.9920 0.1452 x1
S 0.7967 0.4898 0.1395 x1
S 0.8693 0.4392 0.7134 x1
S 0.8712 0.9382 0.7153 x1
S 0.9752 0.7690 0.4916 x1
S 0.9933 0.2655 0.4957 x1

Most intense lines, 2θ from 15° to 90°, most intense first:
- d 3.400, I = 100, hkl 0 2 -1
- d 3.385, I = 78, hkl 1 0 4
- d 2.829, I = 66, hkl -1 2 2
- d 2.842, I = 64, hkl 2 2 0
- d 4.700, I = 52, hkl 1 0 -2
- d 2.926, I = 48, hkl 2 2 1
- d 3.782, I = 44, hkl 1 0 -3
- d 1.966, I = 40, hkl 1 4 2
- d 5.804, I = 40, hkl 1 0 -1
- d 2.064, I = 39, hkl 2 -2 2
- d 2.908, I = 33, hkl 2 2 2
- d 2.819, I = 28, hkl 1 0 5


No. 8
Structure and computed powder diffractogram of Li3SbS3 (a cell relaxed with GGA-PBE; copper Kα).

Cell and atoms:
a b c (Å): 10.7237 10.7237 4.2630
angles (deg): 90.00 90.00 120.00
Space group R3m (No. 160, hexagonal axes)
Symmetry-distinct sites (fractional):
Li 0.1880 0.3761 0.0000 x9
Sb 0.0000 0.0000 0.7723 x3
S 0.0993 0.5496 0.1658 x9

Most intense lines, 2θ from 15° to 90°, most intense first:
- d 5.362, I = 100, hkl 1 1 0
- d 2.710, I = 93, hkl 2 1 1
- d 3.874, I = 67, hkl 1 0 1
- d 2.681, I = 32, hkl 2 2 0
- d 1.822, I = 25, hkl 1 2 2
- d 3.096, I = 23, hkl 3 0 0
- d 1.787, I = 20, hkl 3 3 0
- d 2.027, I = 19, hkl 4 1 0
- d 2.039, I = 17, hkl 4 0 1
- d 1.906, I = 17, hkl 3 2 1
- d 3.140, I = 14, hkl 0 2 1
- d 1.703, I = 13, hkl 0 5 1